Diffraction record for LiNb4Se8. The XRD peak list is computed, not measured: it uses a DFT-relaxed cell (PBE, Alexandria) and Cu Kα, 1.54184 Å.
Peak positions follow from Bragg's law for the DFT cell and can differ from measured ones.

Cell and atoms:
a = 12.1276 Å, b = 7.0035 Å, c = 9.1482 Å
α = 90.00°, β = 131.14°, γ = 90.00°
Space group C2/m (No. 12)
Unique sites:
Li: 0.0000 0.0000 0.0000 x2
Nb: 0.0000 0.2565 0.5000 x4
Nb: 0.2477 0.5000 0.5000 x4
Se: 0.0374 0.0000 0.7406 x4
Se: 0.0389 0.5000 0.7467 x4
Se: 0.2126 0.2524 0.2555 x8

Largest 6 diffraction maxima, sorted by position, 2θ from 5° to 70°:
2θ (°), Rel. int., index
12.85, 87, 0 0 1
32.18, 53, 4 0 -1
32.29, 100, 2 2 -2
39.50, 48, 4 0 0
39.68, 51, 2 2 -3
52.25, 45, 0 4 0